CaMn6O5F7: theoretical powder diffractogram (CuKα), based on a structure optimized by DFT (PBE+U).
Intensities are scaled so that the largest is 100.

Cell and atoms:
```
data_CaMn6O5F7
_cell_length_a 6.461
_cell_length_b 6.461
_cell_length_c 6.566
_cell_angle_alpha 100.50
_cell_angle_beta 100.50
_cell_angle_gamma 63.15
_space_group_name_H-M_alt 'P 1'
_space_group_IT_number 1
loop_
_space_group_symop_operation_xyz
'x,y,z'
loop_
_atom_site_label
_atom_site_fract_x
_atom_site_fract_y
_atom_site_fract_z
Ca1 0.000 0.000 0.000
Mn1 0.000 0.522 0.117
Mn2 0.283 0.717 0.500
Mn3 0.478 0.000 0.883
Mn4 0.487 0.513 0.000
Mn5 0.573 0.127 0.359
Mn6 0.873 0.427 0.641
O1 0.233 0.673 0.188
O2 0.327 0.767 0.812
O3 0.568 0.432 0.500
O4 0.615 0.205 0.095
O5 0.795 0.385 0.905
F1 0.018 0.529 0.449
F2 0.205 0.344 0.819
F3 0.232 0.164 0.170
F4 0.471 0.982 0.551
F5 0.656 0.795 0.181
F6 0.836 0.768 0.830
F7 0.980 0.020 0.500
```

Main lines, by angle (15° ≤ 2θ ≤ 90°):
two_theta, d_spacing, I_rel
19.14, 4.638, 53
29.21, 3.057, 80
31.24, 2.863, 54
32.77, 2.733, 100
33.32, 2.689, 67
33.55, 2.671, 49
33.85, 2.648, 59
43.49, 2.081, 52